Entry 1:
Theoretical powder diffractogram
Compound: Na6Ti2O7
Radiation: Cu Ka
Structure: the GGA-PBE geometry in the Materials Project
Intensities are scaled so that the largest is 100.

Largest 6 diffraction maxima, most intense first, 10 to 90 degrees two-theta:
- 32.95°, intensity 100
- 34.73°, intensity 79
- 36.20°, intensity 77
- 38.05°, intensity 72
- 18.97°, intensity 71
- 42.86°, intensity 56

Atomic structure:
Cell: 5.9729 5.9729 12.4810 Å, 100.36 100.36 94.39°
Fractional coordinates of all 30 atoms:
Na  0.0000  0.0000  0.0000
Na  0.0000  0.0000  0.5000
Na  0.0109  0.4512  0.8657
Na  0.0645  0.9355  0.7500
Na  0.2592  0.5495  0.4187
Na  0.4512  0.0109  0.3657
Na  0.4505  0.7408  0.0813
Na  0.5495  0.2592  0.9187
Na  0.5488  0.9891  0.6343
Na  0.7408  0.4505  0.5813
Na  0.9355  0.0645  0.2500
Na  0.9891  0.5488  0.1343
Ti  0.2646  0.4270  0.6396
Ti  0.4270  0.2646  0.1396
Ti  0.5730  0.7354  0.8604
Ti  0.7354  0.5730  0.3604
O  0.0259  0.2701  0.6771
O  0.1961  0.7015  0.6075
O  0.2486  0.3473  0.0214
O  0.2701  0.0259  0.1771
O  0.2985  0.8039  0.8925
O  0.3473  0.2486  0.5214
O  0.4625  0.5375  0.2500
O  0.5375  0.4625  0.7500
O  0.6527  0.7514  0.4786
O  0.7015  0.1961  0.1075
O  0.7299  0.9741  0.8229
O  0.7514  0.6527  0.9786
O  0.8039  0.2985  0.3925
O  0.9741  0.7299  0.3229

Entry 2:
Theoretical powder diffractogram
Compound: Na6Ti2O7
Radiation: Cu Ka
Structure: the GGA-PBE geometry in the Materials Project
Intensities are scaled so that the largest is 100.

Largest 6 diffraction maxima, most intense first, 10 to 90 degrees two-theta:
- 31.34°, intensity 100
- 33.38°, intensity 97
- 30.61°, intensity 44
- 17.73°, intensity 41
- 21.53°, intensity 37
- 42.75°, intensity 28

Atomic structure:
Cell: 8.4783 8.4783 11.1793 Å, 103.09 103.09 72.32°
Fractional coordinates of all 45 atoms:
Na  0.0247  0.3365  0.8840
Na  0.1286  0.4359  0.3797
Na  0.1295  0.8064  0.6182
Na  0.1936  0.8705  0.3818
Na  0.2513  0.5786  0.8795
Na  0.3365  0.0247  0.8840
Na  0.4214  0.7487  0.1205
Na  0.4359  0.1286  0.3797
Na  0.4596  0.4596  0.6218
Na  0.5404  0.5404  0.3782
Na  0.5641  0.8714  0.6203
Na  0.5786  0.2513  0.8795
Na  0.6635  0.9753  0.1160
Na  0.7487  0.4214  0.1205
Na  0.8064  0.1295  0.6182
Na  0.8705  0.1936  0.3818
Na  0.8714  0.5641  0.6203
Na  0.9753  0.6635  0.1160
Ti  0.1118  0.1118  0.1398
Ti  0.2064  0.2064  0.6282
Ti  0.3551  0.3551  0.1291
Ti  0.6449  0.6449  0.8709
Ti  0.7936  0.7936  0.3718
Ti  0.8882  0.8882  0.8602
O  0.0000  0.0000  0.0000
O  0.0257  0.7241  0.4115
O  0.0272  0.7356  0.7634
O  0.2121  0.2121  0.0537
O  0.2535  0.5594  0.0826
O  0.2644  0.9728  0.2366
O  0.2736  0.2736  0.7969
O  0.2759  0.9743  0.5885
O  0.2994  0.2994  0.5387
O  0.3772  0.3772  0.2972
O  0.4406  0.7465  0.9174
O  0.5594  0.2535  0.0826
O  0.6228  0.6228  0.7028
O  0.7006  0.7006  0.4613
O  0.7241  0.0257  0.4115
O  0.7264  0.7264  0.2031
O  0.7356  0.0272  0.7634
O  0.7465  0.4406  0.9174
O  0.7879  0.7879  0.9463
O  0.9728  0.2644  0.2366
O  0.9743  0.2759  0.5885

Entry 3:
Theoretical powder diffractogram
Compound: NaTi2O4
Radiation: Cu Ka
Structure: the GGA-PBE geometry in the Materials Project
Intensities are scaled so that the largest is 100.

Largest 6 diffraction maxima, most intense first, 10 to 90 degrees two-theta:
- 35.82°, intensity 100
- 18.96°, intensity 84
- 33.16°, intensity 79
- 33.01°, intensity 48
- 60.97°, intensity 47
- 49.52°, intensity 41

Atomic structure:
Cell: 9.3458 2.9669 10.8556 Å, 90.00 90.00 90.00°
Fractional coordinates of all 28 atoms:
Na  0.2428  0.2500  0.1536
Na  0.2572  0.7500  0.6536
Na  0.7428  0.2500  0.3464
Na  0.7572  0.7500  0.8464
Ti  0.0638  0.2500  0.3893
Ti  0.0815  0.2500  0.8969
Ti  0.4185  0.7500  0.3969
Ti  0.4362  0.7500  0.8893
Ti  0.5638  0.2500  0.1107
Ti  0.5815  0.2500  0.6031
Ti  0.9185  0.7500  0.1031
Ti  0.9362  0.7500  0.6107
O  0.0206  0.7500  0.7818
O  0.0791  0.2500  0.5709
O  0.1130  0.7500  0.0214
O  0.2086  0.7500  0.3510
O  0.2914  0.2500  0.8510
O  0.3870  0.2500  0.5214
O  0.4209  0.7500  0.0709
O  0.4794  0.2500  0.2818
O  0.5206  0.7500  0.7182
O  0.5791  0.2500  0.9291
O  0.6130  0.7500  0.4786
O  0.7086  0.7500  0.1490
O  0.7914  0.2500  0.6490
O  0.8870  0.2500  0.9786
O  0.9209  0.7500  0.4291
O  0.9794  0.2500  0.2182

Entry 4:
Theoretical powder diffractogram
Compound: Na4Ti5O12
Radiation: Cu Ka
Structure: the GGA-PBE geometry in the Materials Project
Intensities are scaled so that the largest is 100.

Largest 6 diffraction maxima, most intense first, 10 to 90 degrees two-theta:
- 17.07°, intensity 100
- 17.65°, intensity 42
- 39.89°, intensity 30
- 34.37°, intensity 29
- 41.33°, intensity 28
- 59.74°, intensity 28

Atomic structure:
Cell: 6.1954 6.1954 14.0554 Å, 100.70 100.70 90.17°
Fractional coordinates of all 42 atoms:
Na  0.0000  0.0000  0.0000
Na  0.0000  0.0000  0.5000
Na  0.1091  0.8909  0.7500
Na  0.1920  0.4634  0.9200
Na  0.4634  0.1920  0.4200
Na  0.5366  0.8080  0.5800
Na  0.8080  0.5366  0.0800
Na  0.8909  0.1091  0.2500
Ti  0.0000  0.5000  0.5000
Ti  0.1625  0.6419  0.3367
Ti  0.3389  0.3464  0.6651
Ti  0.3464  0.3389  0.1651
Ti  0.3581  0.8375  0.1633
Ti  0.5000  0.0000  0.0000
Ti  0.6419  0.1625  0.8367
Ti  0.6536  0.6611  0.8349
Ti  0.6611  0.6536  0.3349
Ti  0.8375  0.3581  0.6633
O  0.0512  0.5756  0.6473
O  0.0771  0.1800  0.6802
O  0.1508  0.5721  0.1766
O  0.1800  0.0771  0.1802
O  0.2168  0.7078  0.4736
O  0.2389  0.2975  0.5274
O  0.2922  0.7832  0.0264
O  0.2975  0.2389  0.0274
O  0.4244  0.9488  0.8527
O  0.4265  0.4272  0.8177
O  0.4272  0.4265  0.3177
O  0.4279  0.8492  0.3234
O  0.5721  0.1508  0.6766
O  0.5728  0.5735  0.6823
O  0.5735  0.5728  0.1823
O  0.5756  0.0512  0.1473
O  0.7025  0.7611  0.9726
O  0.7078  0.2168  0.9736
O  0.7611  0.7025  0.4726
O  0.7832  0.2922  0.5264
O  0.8200  0.9229  0.8198
O  0.8492  0.4279  0.8234
O  0.9229  0.8200  0.3198
O  0.9488  0.4244  0.3527

Entry 5:
Theoretical powder diffractogram
Compound: NaTi4O8
Radiation: Cu Ka
Structure: the GGA-PBE geometry in the Materials Project
Intensities are scaled so that the largest is 100.

Largest 6 diffraction maxima, most intense first, 10 to 90 degrees two-theta:
- 21.37°, intensity 100
- 30.35°, intensity 89
- 40.06°, intensity 69
- 50.58°, intensity 55
- 20.83°, intensity 55
- 31.11°, intensity 54

Atomic structure:
Cell: 6.0682 7.1303 10.3561 Å, 101.09 91.21 94.59°
Fractional coordinates of all 39 atoms:
Na  0.0000  0.0000  0.0000
Na  0.2718  0.0020  0.2700
Na  0.5510  0.8553  0.6398
Ti  0.0139  0.1225  0.5362
Ti  0.0312  0.4419  0.0818
Ti  0.0533  0.7288  0.6240
Ti  0.2566  0.1327  0.7806
Ti  0.2734  0.4498  0.3334
Ti  0.3105  0.7259  0.8710
Ti  0.5133  0.1301  0.0263
Ti  0.5315  0.4091  0.5680
Ti  0.5554  0.7265  0.1138
Ti  0.7560  0.1331  0.2841
Ti  0.7848  0.4304  0.8232
Ti  0.7956  0.7358  0.3648
O  0.0133  0.2822  0.2223
O  0.0526  0.5677  0.9240
O  0.0704  0.6140  0.4267
O  0.0787  0.8816  0.7991
O  0.2410  0.9779  0.5977
O  0.2509  0.2438  0.9726
O  0.2596  0.2811  0.4696
O  0.3040  0.5716  0.1745
O  0.3121  0.6112  0.6772
O  0.3192  0.8828  0.0528
O  0.4879  0.9738  0.8496
O  0.5013  0.2452  0.2224
O  0.5116  0.2886  0.7278
O  0.5525  0.5734  0.4316
O  0.5704  0.6122  0.9268
O  0.5744  0.8780  0.3060
O  0.7192  0.9730  0.1040
O  0.7405  0.2410  0.4744
O  0.7674  0.2868  0.9776
O  0.7978  0.5684  0.6739
O  0.8229  0.6161  0.1780
O  0.8447  0.8807  0.5497
O  0.9692  0.9765  0.3499
O  0.9939  0.2425  0.7228

Entry 6:
Theoretical powder diffractogram
Compound: NaTi2O4
Radiation: Cu Ka
Structure: the GGA-PBE geometry in the Materials Project
Intensities are scaled so that the largest is 100.

Largest 6 diffraction maxima, most intense first, 10 to 90 degrees two-theta:
- 34.11°, intensity 100
- 17.62°, intensity 93
- 41.43°, intensity 62
- 60.03°, intensity 62
- 54.71°, intensity 49
- 28.97°, intensity 17

Atomic structure:
Cell: 6.1647 6.1647 6.1647 Å, 60.00 60.00 60.00°
Fractional coordinates of all 14 atoms:
Na  0.1250  0.1250  0.1250
Na  0.8750  0.8750  0.8750
Ti  0.0000  0.5000  0.5000
Ti  0.5000  0.0000  0.5000
Ti  0.5000  0.5000  0.0000
Ti  0.5000  0.5000  0.5000
O  0.2683  0.2683  0.2683
O  0.2683  0.2683  0.6951
O  0.2683  0.6951  0.2683
O  0.3049  0.7317  0.7317
O  0.6951  0.2683  0.2683
O  0.7317  0.3049  0.7317
O  0.7317  0.7317  0.3049
O  0.7317  0.7317  0.7317

Entry 7:
Theoretical powder diffractogram
Compound: Na2TiO3
Radiation: Cu Ka
Structure: the GGA-PBE geometry in the Materials Project
Intensities are scaled so that the largest is 100.

Largest 6 diffraction maxima, most intense first, 10 to 90 degrees two-theta:
- 40.08°, intensity 100
- 40.28°, intensity 49
- 16.25°, intensity 45
- 59.60°, intensity 37
- 35.15°, intensity 31
- 56.63°, intensity 27

Atomic structure:
Cell: 5.3744 5.3744 11.0690 Å, 94.82 94.82 120.03°
Fractional coordinates of all 24 atoms:
Na  0.0000  0.5000  0.5000
Na  0.0817  0.9183  0.7500
Na  0.1586  0.3174  0.9991
Na  0.3174  0.1586  0.4991
Na  0.5000  0.0000  0.0000
Na  0.6826  0.8414  0.5009
Na  0.8414  0.6826  0.0009
Na  0.9183  0.0817  0.2500
Ti  0.2533  0.7467  0.2500
Ti  0.4148  0.5852  0.7500
Ti  0.5852  0.4148  0.2500
Ti  0.7467  0.2533  0.7500
O  0.0486  0.2606  0.6479
O  0.1169  0.5726  0.8506
O  0.2606  0.0486  0.1479
O  0.3305  0.4963  0.3510
O  0.4274  0.8831  0.6494
O  0.4963  0.3305  0.8510
O  0.5037  0.6695  0.1490
O  0.5726  0.1169  0.3506
O  0.6695  0.5037  0.6490
O  0.7394  0.9514  0.8521
O  0.8831  0.4274  0.1494
O  0.9514  0.7394  0.3521